PuU4S8: simulated X-ray diffraction stick pattern (λ = 1.5418 Å (Cu Kα)), based on a cell relaxed with PBE.
Kinematic intensities with the Lorentz-polarization factor, no thermal factor.

Atomic structure:
abc: 11.404 11.404 11.404
angles: 90.00 90.00 90.00
Space group F-43m (No. 216)
One atom of each set of equivalent atoms:
Pu 0.000 0.000 0.000 [4 per cell]
U 0.122 0.122 0.622 [16 per cell]
S 0.114 0.114 0.386 [16 per cell]
S 0.137 0.137 0.863 [16 per cell]

Largest 10 diffraction maxima, most intense first, 10 to 80 degrees two-theta:
| hkl | d_spacing | 2θ/deg | Rel. int. |
| --- | --- | --- | --- |
| 3 1 1 | 3.438 | 25.9 | 100 |
| 4 4 0 | 2.016 | 45.0 | 56 |
| 5 1 1 | 2.195 | 41.1 | 47 |
| 1 1 1 | 6.584 | 13.4 | 46 |
| 2 2 2 | 3.292 | 27.1 | 35 |
| 4 0 0 | 2.851 | 31.4 | 34 |
| 5 5 3 | 1.485 | 62.6 | 26 |
| 6 2 2 | 1.719 | 53.3 | 19 |
| 5 5 5 | 1.317 | 71.7 | 15 |
| 5 3 3 | 1.739 | 52.6 | 15 |

***

Pu2U3S8: simulated X-ray diffraction stick pattern (λ = 1.5418 Å (Cu Kα)), based on a cell relaxed with PBE.
Kinematic intensities with the Lorentz-polarization factor, no thermal factor.

Atomic structure:
abc: 13.904 7.934 6.646
angles: 90.00 109.93 90.00
Space group C2/m (No. 12)
One atom of each set of equivalent atoms:
Pu 0.236 0.000 0.156 [4 per cell]
U 0.000 0.242 0.500 [4 per cell]
U 0.000 0.500 0.000 [2 per cell]
S 0.115 0.000 0.419 [4 per cell]
S 0.115 0.500 0.425 [4 per cell]
S 0.122 0.269 0.914 [8 per cell]

Largest 10 diffraction maxima, most intense first, 10 to 80 degrees two-theta:
| hkl | d_spacing | 2θ/deg | Rel. int. |
| --- | --- | --- | --- |
| 3 1 -1 | 3.806 | 23.4 | 100 |
| 1 1 1 | 4.237 | 21.0 | 94 |
| 4 2 -1 | 2.587 | 34.7 | 77 |
| 2 2 -3 | 1.933 | 47.0 | 75 |
| 0 2 1 | 3.349 | 26.6 | 65 |
| 4 2 1 | 2.151 | 42.0 | 63 |
| 2 2 0 | 3.391 | 26.3 | 62 |
| 4 0 0 | 3.268 | 27.3 | 45 |
| 2 2 -1 | 3.230 | 27.6 | 44 |
| 2 0 -1 | 5.562 | 15.9 | 42 |

***

PuUS4: simulated X-ray diffraction stick pattern (λ = 1.5418 Å (Cu Kα)), based on a cell relaxed with PBE.
Kinematic intensities with the Lorentz-polarization factor, no thermal factor.

Atomic structure:
abc: 4.543 4.543 6.449
angles: 90.00 90.00 90.00
Space group P4/mmm (No. 123)
One atom of each set of equivalent atoms:
Pu 0.000 0.000 0.000 [1 per cell]
U 0.500 0.500 0.500 [1 per cell]
S 0.000 0.500 0.256 [4 per cell]

Largest 10 diffraction maxima, most intense first, 10 to 80 degrees two-theta:
| hkl | d_spacing | 2θ/deg | Rel. int. |
| --- | --- | --- | --- |
| 1 0 1 | 3.714 | 24.0 | 100 |
| 2 0 0 | 2.274 | 39.6 | 68 |
| 2 1 1 | 1.938 | 46.9 | 35 |
| 1 0 3 | 1.943 | 46.8 | 18 |
| 1 1 0 | 3.213 | 27.8 | 17 |
| 3 1 2 | 1.312 | 72.0 | 16 |
| 2 1 3 | 1.477 | 62.9 | 15 |
| 3 2 1 | 1.237 | 77.1 | 13 |
| 0 0 2 | 3.224 | 27.7 | 9 |
| 2 0 2 | 1.857 | 49.1 | 8 |

***

PuU3S6: simulated X-ray diffraction stick pattern (λ = 1.5418 Å (Cu Kα)), based on a cell relaxed with PBE.
Kinematic intensities with the Lorentz-polarization factor, no thermal factor.

Atomic structure:
abc: 10.912 3.897 11.261
angles: 90.00 107.53 90.00
Space group P2_1/m (No. 11)
One atom of each set of equivalent atoms:
Pu 0.048 0.250 0.188 [2 per cell]
U 0.153 0.250 0.578 [2 per cell]
U 0.316 0.750 0.002 [2 per cell]
U 0.432 0.250 0.333 [2 per cell]
S 0.085 0.750 0.398 [2 per cell]
S 0.122 0.250 0.960 [2 per cell]
S 0.196 0.750 0.749 [2 per cell]
S 0.259 0.750 0.227 [2 per cell]
S 0.396 0.250 0.562 [2 per cell]
S 0.488 0.250 0.117 [2 per cell]

Largest 10 diffraction maxima, most intense first, 10 to 80 degrees two-theta:
| hkl | d_spacing | 2θ/deg | Rel. int. |
| --- | --- | --- | --- |
| 3 0 -1 | 3.636 | 24.5 | 100 |
| 1 0 -3 | 3.750 | 23.7 | 86 |
| 1 1 -2 | 3.178 | 28.1 | 66 |
| 4 1 -3 | 2.099 | 43.1 | 63 |
| 2 0 2 | 3.276 | 27.2 | 61 |
| 2 1 1 | 2.860 | 31.3 | 60 |
| 3 1 0 | 2.591 | 34.6 | 58 |
| 1 1 1 | 3.349 | 26.6 | 54 |
| 1 1 -1 | 3.573 | 24.9 | 41 |
| 0 2 0 | 1.948 | 46.6 | 39 |

***

PuU2S3: simulated X-ray diffraction stick pattern (λ = 1.5418 Å (Cu Kα)), based on a cell relaxed with PBE.
Kinematic intensities with the Lorentz-polarization factor, no thermal factor.

Atomic structure:
abc: 5.497 11.571 7.831
angles: 90.00 90.11 90.00
Space group P2_1/c (No. 14)
One atom of each set of equivalent atoms:
Pu 0.250 0.083 0.126 [4 per cell]
U 0.249 0.083 0.623 [4 per cell]
U 0.251 0.750 0.125 [4 per cell]
S 0.249 0.249 0.874 [4 per cell]
S 0.251 0.583 0.374 [4 per cell]
S 0.251 0.583 0.874 [4 per cell]

Largest 10 diffraction maxima, most intense first, 10 to 80 degrees two-theta:
| hkl | d_spacing | 2θ/deg | Rel. int. |
| --- | --- | --- | --- |
| 2 0 0 | 2.748 | 32.6 | 100 |
| 1 0 2 | 3.189 | 28.0 | 54 |
| 1 3 0 | 3.157 | 28.3 | 52 |
| 2 3 2 | 1.943 | 46.7 | 49 |
| 1 3 4 | 1.664 | 55.2 | 18 |
| 1 6 2 | 1.650 | 55.7 | 17 |
| 2 6 0 | 1.579 | 58.5 | 13 |
| 0 0 4 | 1.958 | 46.4 | 13 |
| 4 0 0 | 1.374 | 68.3 | 12 |
| 0 6 0 | 1.929 | 47.1 | 12 |

***

PuU2S6: simulated X-ray diffraction stick pattern (λ = 1.5418 Å (Cu Kα)), based on a cell relaxed with PBE.
Kinematic intensities with the Lorentz-polarization factor, no thermal factor.

Atomic structure:
abc: 13.471 5.076 8.812
angles: 90.00 127.03 90.00
Space group C2/m (No. 12)
One atom of each set of equivalent atoms:
Pu 0.000 0.000 0.000 [2 per cell]
U 0.182 0.000 0.607 [4 per cell]
S 0.039 0.000 0.721 [4 per cell]
S 0.128 0.500 0.053 [4 per cell]
S 0.246 0.500 0.626 [4 per cell]

Largest 10 diffraction maxima, most intense first, 10 to 80 degrees two-theta:
| hkl | d_spacing | 2θ/deg | Rel. int. |
| --- | --- | --- | --- |
| 1 1 0 | 4.590 | 19.3 | 100 |
| 3 1 -1 | 3.351 | 26.6 | 81 |
| 2 0 -2 | 4.397 | 20.2 | 80 |
| 2 0 1 | 3.398 | 26.2 | 66 |
| 5 1 -3 | 2.247 | 40.1 | 52 |
| 1 1 -2 | 3.220 | 27.7 | 51 |
| 0 2 0 | 2.538 | 35.4 | 49 |
| 2 0 -1 | 6.601 | 13.4 | 44 |
| 3 1 1 | 2.328 | 38.7 | 37 |
| 4 0 -3 | 2.783 | 32.2 | 35 |

***

YPu4S5: simulated X-ray diffraction stick pattern (λ = 1.5418 Å (Cu Kα)), based on a cell relaxed with PBE.
Kinematic intensities with the Lorentz-polarization factor, no thermal factor.

Atomic structure:
abc: 3.944 3.944 27.967
angles: 90.00 90.00 90.00
Space group I4/mmm (No. 139)
One atom of each set of equivalent atoms:
Y 0.000 0.000 0.000 [2 per cell]
Pu 0.000 0.000 0.200 [4 per cell]
Pu 0.000 0.000 0.400 [4 per cell]
S 0.000 0.000 0.099 [4 per cell]
S 0.000 0.000 0.299 [4 per cell]
S 0.000 0.000 0.500 [2 per cell]

Largest 10 diffraction maxima, most intense first, 10 to 80 degrees two-theta:
| hkl | d_spacing | 2θ/deg | Rel. int. |
| --- | --- | --- | --- |
| 1 1 0 | 2.791 | 32.1 | 100 |
| 1 0 5 | 3.223 | 27.7 | 99 |
| 2 0 0 | 1.974 | 46.0 | 74 |
| 2 1 5 | 1.682 | 54.6 | 33 |
| 2 0 10 | 1.612 | 57.2 | 27 |
| 3 1 0 | 1.247 | 76.3 | 22 |
| 1 0 15 | 1.686 | 54.4 | 17 |
| 2 1 15 | 1.281 | 74.0 | 14 |
| 1 1 20 | 1.250 | 76.2 | 11 |
| 2 2 0 | 1.394 | 67.1 | 8 |

***

Pu3ZrS4: simulated X-ray diffraction stick pattern (λ = 1.5418 Å (Cu Kα)), based on a cell relaxed with PBE.
Kinematic intensities with the Lorentz-polarization factor, no thermal factor.

Atomic structure:
abc: 7.771 10.956 3.874
angles: 90.00 90.00 90.00
Space group Cmmm (No. 65)
One atom of each set of equivalent atoms:
Pu 0.000 0.000 0.000 [2 per cell]
Pu 0.250 0.250 0.500 [4 per cell]
Zr 0.000 0.500 0.000 [2 per cell]
S 0.000 0.254 0.000 [4 per cell]
S 0.241 0.500 0.500 [4 per cell]

Largest 10 diffraction maxima, most intense first, 10 to 80 degrees two-theta:
| hkl | d_spacing | 2θ/deg | Rel. int. |
| --- | --- | --- | --- |
| 2 0 1 | 2.742 | 32.7 | 100 |
| 2 2 0 | 3.166 | 28.2 | 97 |
| 2 4 1 | 1.938 | 46.9 | 61 |
| 4 2 1 | 1.654 | 55.6 | 32 |
| 2 0 3 | 1.226 | 77.9 | 28 |
| 2 6 0 | 1.652 | 55.6 | 16 |
| 4 6 1 | 1.258 | 75.6 | 13 |
| 4 4 0 | 1.585 | 58.2 | 13 |
| 0 4 2 | 1.582 | 58.3 | 13 |
| 4 0 0 | 1.943 | 46.8 | 12 |

***

PuZrS4: simulated X-ray diffraction stick pattern (λ = 1.5418 Å (Cu Kα)), based on a cell relaxed with PBE.
Kinematic intensities with the Lorentz-polarization factor, no thermal factor.

Atomic structure:
abc: 8.764 8.819 3.922
angles: 90.00 90.00 90.00
Space group Cmmm (No. 65)
One atom of each set of equivalent atoms:
Pu 0.000 0.000 0.000 [2 per cell]
Zr 0.000 0.500 0.500 [2 per cell]
S 0.000 0.310 0.000 [4 per cell]
S 0.203 0.000 0.500 [4 per cell]

Largest 10 diffraction maxima, most intense first, 10 to 80 degrees two-theta:
| hkl | d_spacing | 2θ/deg | Rel. int. |
| --- | --- | --- | --- |
| 1 1 1 | 3.317 | 26.9 | 100 |
| 0 2 0 | 4.410 | 20.1 | 76 |
| 2 0 0 | 4.382 | 20.3 | 72 |
| 1 3 1 | 2.272 | 39.7 | 61 |
| 3 1 1 | 2.264 | 39.8 | 56 |
| 1 1 0 | 6.217 | 14.2 | 45 |
| 3 3 1 | 1.832 | 49.8 | 44 |
| 2 0 1 | 2.922 | 30.6 | 32 |
| 0 0 2 | 1.962 | 46.3 | 29 |
| 2 2 0 | 3.108 | 28.7 | 26 |

***

Pu2ZrS5: simulated X-ray diffraction stick pattern (λ = 1.5418 Å (Cu Kα)), based on a cell relaxed with PBE.
Kinematic intensities with the Lorentz-polarization factor, no thermal factor.

Atomic structure:
abc: 11.323 7.932 7.220
angles: 90.00 90.00 90.00
Space group Pnma (No. 62)
One atom of each set of equivalent atoms:
Pu 0.174 0.000 0.045 [8 per cell]
Zr 0.010 0.250 0.577 [4 per cell]
S 0.002 0.250 0.952 [4 per cell]
S 0.084 0.539 0.674 [8 per cell]
S 0.191 0.250 0.346 [4 per cell]
S 0.212 0.750 0.325 [4 per cell]

Largest 10 diffraction maxima, most intense first, 10 to 80 degrees two-theta:
| hkl | d_spacing | 2θ/deg | Rel. int. |
| --- | --- | --- | --- |
| 3 0 1 | 3.345 | 26.7 | 100 |
| 3 2 1 | 2.557 | 35.1 | 81 |
| 1 2 1 | 3.323 | 26.8 | 54 |
| 2 2 2 | 2.415 | 37.2 | 48 |
| 0 0 2 | 3.610 | 24.7 | 46 |
| 2 2 0 | 3.248 | 27.5 | 42 |
| 1 2 2 | 2.598 | 34.5 | 42 |
| 0 2 0 | 3.966 | 22.4 | 37 |
| 3 4 1 | 1.705 | 53.7 | 36 |
| 5 2 1 | 1.897 | 47.9 | 32 |

***

Pu3Sb2: simulated X-ray diffraction stick pattern (λ = 1.5418 Å (Cu Kα)), based on a cell relaxed with PBE.
Kinematic intensities with the Lorentz-polarization factor, no thermal factor.

Atomic structure:
abc: 8.3281 8.3281 16.0082
angles: 90.00 90.00 120.00
Space group R-3c (No. 167, hexagonal axes)
One atom of each set of equivalent atoms:
Pu 0.0000 0.2684 0.2500 [18 per cell]
Sb 0.0000 0.0000 0.1097 [12 per cell]

Largest 10 diffraction maxima, most intense first, 10 to 80 degrees two-theta:
| hkl | d_spacing | 2θ/deg | Rel. int. |
| --- | --- | --- | --- |
| 1 1 3 | 3.283 | 27.2 | 100 |
| 2 1 1 | 2.687 | 33.3 | 31 |
| 3 0 0 | 2.404 | 37.4 | 29 |
| 0 0 6 | 2.668 | 33.6 | 22 |
| 0 2 4 | 2.679 | 33.4 | 19 |
| 2 1 4 | 2.253 | 40.0 | 19 |
| 3 0 6 | 1.786 | 51.1 | 16 |
| 1 2 5 | 2.076 | 43.6 | 15 |
| 3 2 1 | 1.645 | 55.9 | 15 |
| 0 4 8 | 1.340 | 70.2 | 13 |

***

Pu3Sb8: simulated X-ray diffraction stick pattern (λ = 1.5418 Å (Cu Kα)), based on a cell relaxed with PBE.
Kinematic intensities with the Lorentz-polarization factor, no thermal factor.

Atomic structure:
abc: 18.030 4.267 8.359
angles: 90.00 110.51 90.00
Space group C2/m (No. 12)
One atom of each set of equivalent atoms:
Pu 0.000 0.000 0.000 [2 per cell]
Pu 0.221 0.500 0.669 [4 per cell]
Sb 0.060 0.500 0.753 [4 per cell]
Sb 0.099 0.000 0.428 [4 per cell]
Sb 0.140 0.500 0.220 [4 per cell]
Sb 0.175 0.000 0.924 [4 per cell]

Largest 10 diffraction maxima, most intense first, 10 to 80 degrees two-theta:
| hkl | d_spacing | 2θ/deg | Rel. int. |
| --- | --- | --- | --- |
| 5 1 -1 | 2.748 | 32.6 | 100 |
| 1 1 2 | 2.729 | 32.8 | 96 |
| 4 0 -3 | 2.679 | 33.4 | 36 |
| 6 0 1 | 2.395 | 37.6 | 34 |
| 0 2 0 | 2.133 | 42.4 | 27 |
| 6 2 1 | 1.593 | 57.9 | 20 |
| 4 2 -3 | 1.669 | 55.0 | 19 |
| 1 1 -1 | 3.794 | 23.4 | 16 |
| 10 0 -2 | 1.797 | 50.8 | 12 |
| 11 1 0 | 1.445 | 64.5 | 12 |

***

PuTh2ScSb5: simulated X-ray diffraction stick pattern (λ = 1.5418 Å (Cu Kα)), based on a cell relaxed with PBE.
Kinematic intensities with the Lorentz-polarization factor, no thermal factor.

Atomic structure:
abc: 5.018 5.018 11.584
angles: 90.00 90.00 90.00
Space group P4/mmm (No. 123)
One atom of each set of equivalent atoms:
Pu 0.000 0.000 0.000 [1 per cell]
Th 0.500 0.500 0.288 [2 per cell]
Sc 0.000 0.000 0.500 [1 per cell]
Sb 0.000 0.000 0.252 [2 per cell]
Sb 0.000 0.500 0.500 [2 per cell]
Sb 0.500 0.500 0.000 [1 per cell]

Largest 10 diffraction maxima, most intense first, 10 to 80 degrees two-theta:
| hkl | d_spacing | 2θ/deg | Rel. int. |
| --- | --- | --- | --- |
| 2 0 0 | 2.509 | 35.8 | 100 |
| 1 1 0 | 3.548 | 25.1 | 98 |
| 1 1 3 | 2.613 | 34.3 | 90 |
| 2 0 4 | 1.896 | 48.0 | 63 |
| 0 0 4 | 2.896 | 30.9 | 54 |
| 1 1 1 | 3.393 | 26.3 | 49 |
| 1 1 2 | 3.026 | 29.5 | 43 |
| 2 2 0 | 1.774 | 51.5 | 36 |
| 1 1 4 | 2.243 | 40.2 | 35 |
| 3 1 3 | 1.468 | 63.4 | 31 |